# 1
# TbZrSb2
Theoretical powder X-ray diffraction pattern, CuKα. Input: the PBE geometry in Alexandria.
Intensities are scaled so that the largest is 100.

Cell and atoms:
Lattice parameters (Å, degrees): 7.7397 7.7397 7.7397 31.26 31.26 31.26
Positions (direct):
Tb 0.0000 0.0000 0.0000
Zr 0.8281 0.8281 0.8281
Sb 0.4172 0.4172 0.4172
Sb 0.5758 0.5758 0.5758

Largest 10 diffraction maxima, sorted by position, 15 to 90 degrees two-theta:
two_theta  I (rel.)
26.0  63.9
32.0  100.0
37.9  68.5
43.4  61.7
49.6  13.0
54.9  21.3
58.9  18.6
68.0  29.7
72.5  18.5
76.0  17.5

# 2
# PmScGeH
Theoretical powder X-ray diffraction pattern, CuKα. Input: the PBE geometry in Alexandria.
Intensities are scaled so that the largest is 100.

Cell and atoms:
Lattice parameters (Å, degrees): 4.2596 4.2596 8.2226 90.00 90.00 90.00
Positions (direct):
Pm 0.2500 0.2500 0.1355
Pm 0.7500 0.7500 0.8645
Sc 0.2500 0.7500 0.5000
Sc 0.7500 0.2500 0.5000
Ge 0.2500 0.2500 0.7208
Ge 0.7500 0.7500 0.2792
H 0.2500 0.7500 0.0000
H 0.7500 0.2500 0.0000

Largest 10 diffraction maxima, sorted by position, 15 to 90 degrees two-theta:
two_theta  I (rel.)
29.7  54.1
30.2  100.0
31.6  47.7
37.0  35.8
39.1  35.6
42.4  47.3
53.0  41.3
59.1  21.0
60.3  14.7
61.6  15.3

# 3
# GdTa4O12
Theoretical powder X-ray diffraction pattern, CuKα. Input: the PBE geometry in Alexandria.
Intensities are scaled so that the largest is 100.

Cell and atoms:
Lattice parameters (Å, degrees): 7.9702 5.5408 5.5408 89.72 90.00 90.00
Positions (direct):
Gd 0.0000 0.0000 0.0000
Ta 0.2588 0.0512 0.5411
Ta 0.2588 0.5411 0.0512
Ta 0.7412 0.0512 0.5411
Ta 0.7412 0.5411 0.0512
O 0.0000 0.0624 0.5626
O 0.0000 0.5626 0.0624
O 0.2231 0.7882 0.7882
O 0.2284 0.2621 0.8475
O 0.2284 0.8475 0.2621
O 0.2515 0.3395 0.3395
O 0.5000 0.0342 0.5638
O 0.5000 0.5638 0.0342
O 0.7485 0.3395 0.3395
O 0.7716 0.2621 0.8475
O 0.7716 0.8475 0.2621
O 0.7769 0.7882 0.7882

Largest 10 diffraction maxima, sorted by position, 15 to 90 degrees two-theta:
two_theta  I (rel.)
22.3  39.5
22.6  42.7
22.8  37.3
32.0  100.0
32.3  50.8
51.4  16.4
52.1  18.3
56.9  20.9
57.4  17.7
57.5  20.8

Question: Number 3 is which compound?
Answer: GdTa4O12